Record 1
This entry pairs a crystal structure of Li4MnCo2O7 with its theoretical X-ray powder pattern. Radiation: Cu Kα X-rays. Structure: a GGA+U-relaxed structure.
No peak broadening, texture or thermal motion is included.

Atomic structure:
a = 5.223 Å, b = 2.849 Å, c = 34.442 Å
α = 90.00°, β = 94.24°, γ = 90.00°
Space group Cm (No. 8)
Asymmetric unit:
1 Li 0.000 0.000 0.000
2 Li 0.003 0.000 0.501
3 Li 0.070 0.500 0.355
4 Li 0.143 0.000 0.214
5 Li 0.208 0.500 0.070
6 Li 0.297 0.000 0.932
7 Li 0.356 0.500 0.784
8 Li 0.429 0.000 0.643
9 Mn 0.075 0.500 0.856
10 Mn 0.287 0.000 0.428
11 Co 0.143 0.000 0.714
12 Co 0.216 0.500 0.572
13 Co 0.357 0.500 0.285
14 Co 0.427 0.000 0.143
15 O 0.000 0.500 0.747
16 O 0.002 0.500 0.252
17 O 0.062 0.000 0.114
18 O 0.072 0.000 0.605
19 O 0.142 0.500 0.963
20 O 0.166 0.500 0.461
21 O 0.199 0.000 0.824
22 O 0.215 0.000 0.319
23 O 0.287 0.500 0.680
24 O 0.300 0.500 0.174
25 O 0.358 0.000 0.538
26 O 0.360 0.000 0.037
27 O 0.408 0.500 0.396
28 O 0.442 0.500 0.887

Principal peaks in the range 2θ = 10–90°, low angle first:
| two_theta | I/Imax | hkl |
| --- | --- | --- |
| 18.1 | 100 | 0 0 7 |
| 34.7 | 18 | 2 0 1 |
| 36.5 | 26 | 1 1 -3 |
| 41.9 | 33 | 2 0 8 |
| 44.0 | 56 | 1 1 -10 |
| 62.5 | 24 | 3 1 -2 |

Record 2
This entry pairs a crystal structure of Li5Mn2CoO8 with its theoretical X-ray powder pattern. Radiation: Cu Kα X-rays. Structure: a GGA+U-relaxed structure.
No peak broadening, texture or thermal motion is included.

Atomic structure:
a = 3.006 Å, b = 5.045 Å, c = 9.813 Å
α = 77.66°, β = 87.66°, γ = 87.60°
Space group P-1 (No. 2)
Asymmetric unit:
1 Li 0.000 0.000 0.000
2 Li 0.006 0.747 0.765
3 Li 0.497 0.236 0.766
4 Mn 0.000 0.500 0.500
5 Mn 0.500 0.000 0.500
6 Co 0.500 0.500 0.000
7 O 0.014 0.387 0.891
8 O 0.034 0.134 0.619
9 O 0.473 0.368 0.386
10 O 0.493 0.830 0.888

Principal peaks in the range 2θ = 10–90°, low angle first:
| two_theta | I/Imax | hkl |
| --- | --- | --- |
| 18.5 | 100 | 0 0 2 |
| 34.4 | 18 | 1 1 1 |
| 41.6 | 33 | 1 1 3 |
| 43.9 | 28 | -1 1 3 |
| 44.8 | 25 | 0 2 -2 |
| 62.2 | 15 | 0 2 6 |

Record 3
This entry pairs a crystal structure of Li4MnCo3O8 with its theoretical X-ray powder pattern. Radiation: Cu Kα X-rays. Structure: a GGA+U-relaxed structure.
No peak broadening, texture or thermal motion is included.

Atomic structure:
a = 2.941 Å, b = 5.062 Å, c = 9.853 Å
α = 79.58°, β = 88.35°, γ = 88.80°
Space group P-1 (No. 2)
Asymmetric unit:
1 Li 0.001 0.250 0.251
2 Li 0.497 0.752 0.246
3 Mn 0.000 0.500 0.500
4 Co 0.000 0.000 0.000
5 Co 0.500 0.000 0.500
6 Co 0.500 0.500 0.000
7 O 0.004 0.631 0.117
8 O 0.020 0.878 0.394
9 O 0.464 0.361 0.386
10 O 0.491 0.869 0.884

Principal peaks in the range 2θ = 10–90°, low angle first:
| two_theta | I/Imax | hkl |
| --- | --- | --- |
| 18.3 | 100 | 0 0 2 |
| 35.4 | 16 | 1 1 1 |
| 37.5 | 14 | 1 1 -1 |
| 42.6 | 27 | 1 1 3 |
| 43.8 | 25 | 0 2 -2 |
| 44.1 | 24 | -1 1 3 |

Record 4
This entry pairs a crystal structure of Li7Mn4CoO12 with its theoretical X-ray powder pattern. Radiation: Cu Kα X-rays. Structure: a GGA+U-relaxed structure.
No peak broadening, texture or thermal motion is included.

Atomic structure:
a = 5.238 Å, b = 5.993 Å, c = 7.779 Å
α = 75.78°, β = 74.71°, γ = 69.50°
Space group P1 (No. 1)
Asymmetric unit:
1 Li 0.000 0.000 0.000
2 Li 0.003 0.490 0.996
3 Li 0.009 0.650 0.320
4 Li 0.018 0.176 0.326
5 Li 0.499 0.327 0.161
6 Li 0.991 0.821 0.657
7 Li 0.997 0.333 0.655
8 Mn 0.497 0.490 0.488
9 Mn 0.501 0.997 0.489
10 Mn 0.503 0.829 0.157
11 Mn 0.506 0.170 0.829
12 Co 0.506 0.663 0.831
13 O 0.260 0.308 0.413
14 O 0.261 0.810 0.395
15 O 0.265 0.478 0.738
16 O 0.271 0.148 0.065
17 O 0.295 0.678 0.066
18 O 0.302 0.996 0.749
19 O 0.715 0.334 0.897
20 O 0.716 0.972 0.245
21 O 0.725 0.676 0.590
22 O 0.735 0.509 0.246
23 O 0.739 0.176 0.586
24 O 0.745 0.852 0.920

Principal peaks in the range 2θ = 10–90°, low angle first:
| two_theta | I/Imax | hkl |
| --- | --- | --- |
| 18.4 | 100 | 1 0 0 |
| 34.3 | 17 | 1 2 2 |
| 41.1 | 35 | 2 2 2 |
| 44.5 | 28 | 1 0 -3 |
| 44.7 | 27 | 1 -2 1 |
| 62.1 | 17 | 1 4 1 |

Record 5
This entry pairs a crystal structure of Li5MnCo2O8 with its theoretical X-ray powder pattern. Radiation: Cu Kα X-rays. Structure: a GGA+U-relaxed structure.
No peak broadening, texture or thermal motion is included.

Atomic structure:
a = 5.134 Å, b = 5.738 Å, c = 5.845 Å
α = 119.34°, β = 108.23°, γ = 90.27°
Space group P-1 (No. 2)
Asymmetric unit:
1 Li 0.000 0.000 0.000
2 Li 0.497 0.751 0.502
3 Li 0.497 0.758 0.001
4 Mn 0.000 0.500 0.500
5 Co 0.000 0.000 0.500
6 Co 0.000 0.500 0.000
7 O 0.215 0.391 0.256
8 O 0.220 0.839 0.229
9 O 0.230 0.865 0.727
10 O 0.241 0.379 0.733

Principal peaks in the range 2θ = 10–90°, low angle first:
| two_theta | I/Imax | hkl |
| --- | --- | --- |
| 18.1 | 24 | 0 1 -1 |
| 18.5 | 100 | 1 0 0 |
| 36.6 | 26 | 0 2 0 |
| 42.9 | 34 | 2 0 -2 |
| 44.4 | 30 | 1 -2 2 |
| 44.6 | 29 | 1 2 0 |

Record 6
This entry pairs a crystal structure of Li4MnCo3O8 with its theoretical X-ray powder pattern. Radiation: Cu Kα X-rays. Structure: a GGA+U-relaxed structure.
No peak broadening, texture or thermal motion is included.

Atomic structure:
a = 5.193 Å, b = 5.817 Å, c = 5.886 Å
α = 62.47°, β = 88.57°, γ = 71.59°
Space group P-1 (No. 2)
Asymmetric unit:
1 Li 0.000 0.247 0.246
2 Li 0.003 0.250 0.754
3 Mn 0.500 0.500 0.500
4 Co 0.500 0.000 0.000
5 Co 0.500 0.000 0.500
6 Co 0.500 0.500 0.000
7 O 0.263 0.356 0.111
8 O 0.272 0.862 0.127
9 O 0.272 0.866 0.626
10 O 0.275 0.366 0.622

Principal peaks in the range 2θ = 10–90°, low angle first:
| two_theta | I/Imax | hkl |
| --- | --- | --- |
| 18.2 | 100 | 1 0 0 |
| 34.7 | 17 | 0 0 2 |
| 36.7 | 43 | 0 2 2 |
| 37.5 | 12 | 1 2 2 |
| 41.9 | 29 | 1 0 2 |
| 47.3 | 19 | 1 -2 0 |